1.
Starting from a crystal structure in the Materials Project, relaxed with GGA-PBE, the powder X-ray diffraction pattern of Ba2BiSbO6 was calculated for Cu Kα (weighted mean of Kα1 and Kα2).
No peak broadening, texture or thermal motion is included.

Peak list (10 most intense, 10° ≤ 2θ ≤ 80°, by intensity)
hkl 2 2 0, 29.12 deg, rel. 100
hkl 4 2 2, 51.63 deg, rel. 41
hkl 4 0 0, 41.66 deg, rel. 29
hkl 6 2 0, 68.41 deg, rel. 19
hkl 4 4 0, 60.38 deg, rel. 18
hkl 4 4 4, 76.03 deg, rel. 6
hkl 2 0 0, 20.48 deg, rel. 4
hkl 1 1 1, 17.71 deg, rel. 3
hkl 3 1 1, 34.29 deg, rel. 3
hkl 3 3 1, 45.59 deg, rel. 2

Cell and atoms:
a b c (Å): 8.6727 8.6727 8.6727
angles (deg): 90.00 90.00 90.00
Space group Fm-3m (No. 225)
One atom of each set of equivalent atoms:
Ba: 0.2500 0.2500 0.2500 x8
Bi: 0.0000 0.0000 0.0000 x4
Sb: 0.0000 0.0000 0.5000 x4
O: 0.0000 0.0000 0.2671 x24



2.
Starting from a crystal structure in the Materials Project, relaxed with GGA-PBE, the powder X-ray diffraction pattern of Cr6C3N was calculated for Cu Kα (weighted mean of Kα1 and Kα2).
No peak broadening, texture or thermal motion is included.

Peak list (10 most intense, 10° ≤ 2θ ≤ 80°, by intensity)
hkl 2 0 -3, 43.73 deg, rel. 100
hkl 1 1 1, 35.93 deg, rel. 58
hkl 2 0 3, 44.15 deg, rel. 53
hkl 4 0 0, 39.13 deg, rel. 45
hkl 1 1 -2, 42.60 deg, rel. 34
hkl 3 1 1, 45.87 deg, rel. 27
hkl 3 1 -1, 45.66 deg, rel. 26
hkl 0 2 0, 66.76 deg, rel. 25
hkl 1 1 2, 42.75 deg, rel. 24
hkl 3 1 2, 51.66 deg, rel. 22

Cell and atoms:
a b c (Å): 9.2081 2.8026 6.9142
angles (deg): 90.00 90.67 90.00
Space group C2/m (No. 12)
One atom of each set of equivalent atoms:
Cr: 0.0983 0.0000 0.2550 x4
Cr: 0.1425 0.5000 0.9341 x4
Cr: 0.1474 0.5000 0.5758 x4
C: 0.0000 0.0000 0.0000 x2
C: 0.2478 0.5000 0.2474 x4
N: 0.0000 0.0000 0.5000 x2



3.
Starting from a crystal structure in the Materials Project, relaxed with GGA-PBE, the powder X-ray diffraction pattern of Ho2Co3Si5 was calculated for Cu Kα (weighted mean of Kα1 and Kα2).
No peak broadening, texture or thermal motion is included.

Peak list (10 most intense, 10° ≤ 2θ ≤ 80°, by intensity)
hkl 3 2 1, 36.24 deg, rel. 100
hkl 2 0 2, 37.62 deg, rel. 64
hkl 1 2 1, 24.41 deg, rel. 60
hkl 2 4 0, 37.03 deg, rel. 57
hkl 0 4 2, 46.01 deg, rel. 56
hkl 5 2 1, 53.24 deg, rel. 32
hkl 0 0 2, 32.42 deg, rel. 24
hkl 0 4 0, 31.75 deg, rel. 23
hkl 3 2 3, 60.35 deg, rel. 22
hkl 3 6 1, 59.52 deg, rel. 20

Cell and atoms:
a b c (Å): 9.5578 11.2743 5.5229
angles (deg): 90.00 90.00 90.00
Space group Ibam (No. 72)
One atom of each set of equivalent atoms:
Ho: 0.2328 0.1349 0.0000 x8
Co: 0.0000 0.5000 0.2500 x4
Co: 0.1088 0.1381 0.5000 x8
Si: 0.0000 0.0000 0.2500 x4
Si: 0.0000 0.2742 0.2500 x8
Si: 0.1591 0.3991 0.0000 x8



4.
Starting from a crystal structure in the Materials Project, relaxed with GGA-PBE, the powder X-ray diffraction pattern of Tm4FeS7 was calculated for Cu Kα (weighted mean of Kα1 and Kα2).
No peak broadening, texture or thermal motion is included.

Peak list (10 most intense, 10° ≤ 2θ ≤ 80°, by intensity)
hkl 2 0 2, 24.80 deg, rel. 100
hkl 2 0 -3, 25.32 deg, rel. 95
hkl 3 1 0, 32.93 deg, rel. 60
hkl 3 1 1, 35.38 deg, rel. 57
hkl 3 1 -2, 34.21 deg, rel. 54
hkl 3 1 -1, 32.53 deg, rel. 47
hkl 6 0 1, 48.80 deg, rel. 47
hkl 4 0 -1, 29.11 deg, rel. 47
hkl 1 1 -2, 28.85 deg, rel. 45
hkl 1 1 4, 43.29 deg, rel. 44

Cell and atoms:
a b c (Å): 12.2741 3.7413 11.2588
angles (deg): 90.00 104.59 90.00
Space group Cm (No. 8)
One atom of each set of equivalent atoms:
Tm: 0.0000 0.0000 0.0000 x2
Tm: 0.0809 0.5000 0.3603 x2
Tm: 0.1942 0.5000 0.8004 x2
Tm: 0.3880 0.0000 0.5968 x2
Fe: 0.3053 0.5000 0.2189 x2
S: 0.0339 0.0000 0.7433 x2
S: 0.1618 0.5000 0.0215 x2
S: 0.2025 0.0000 0.2897 x2
S: 0.2303 0.5000 0.5787 x2
S: 0.3554 0.0000 0.8463 x2
S: 0.4257 0.0000 0.1488 x2
S: 0.4483 0.5000 0.4338 x2



5.
Starting from a crystal structure in the Materials Project, relaxed with GGA-PBE, the powder X-ray diffraction pattern of Dy2Ga9Ir3 was calculated for Cu Kα (weighted mean of Kα1 and Kα2).
No peak broadening, texture or thermal motion is included.

Peak list (10 most intense, 10° ≤ 2θ ≤ 80°, by intensity)
hkl 3 3 0, 41.22 deg, rel. 100
hkl 3 1 3, 36.99 deg, rel. 74
hkl 3 1 2, 30.16 deg, rel. 65
hkl 0 2 4, 45.05 deg, rel. 30
hkl 6 2 2, 51.92 deg, rel. 27
hkl 6 0 2, 45.62 deg, rel. 26
hkl 3 3 4, 57.23 deg, rel. 25
hkl 0 0 4, 37.90 deg, rel. 25
hkl 6 4 3, 72.36 deg, rel. 25
hkl 6 4 2, 68.35 deg, rel. 24

Cell and atoms:
a b c (Å): 13.1353 7.5889 9.4963
angles (deg): 90.00 90.00 90.00
Space group Cmcm (No. 63)
One atom of each set of equivalent atoms:
Dy: 0.1646 0.1675 0.2500 x8
Ga: 0.0000 0.1261 0.7500 x4
Ga: 0.0000 0.3331 0.0627 x8
Ga: 0.1040 0.4423 0.7500 x8
Ga: 0.1672 0.1667 0.5787 x16
Ir: 0.0000 0.0000 0.0000 x4
Ir: 0.1715 0.5000 0.0000 x8